This entry pairs a crystal structure of NiI4 with its computed powder X-ray diffraction pattern. Radiation: Cu Ka. Structure: a structure optimized by DFT (GGA-PBE).
Lines closer than 0.1° are merged.

Main lines, by angle (5 to 70 degrees two-theta):
(0 1 1), 5.113 Å, I 18
(0 0 2), 3.361 Å, I 39
(1 2 -1), 3.167 Å, I 74
(2 0 0), 2.973 Å, I 34
(1 2 1), 2.773 Å, I 100
(2 0 -2), 2.663 Å, I 29
(1 2 -3), 2.014 Å, I 22
(0 4 0), 1.969 Å, I 19
(2 0 2), 1.953 Å, I 17
(3 2 -1), 1.839 Å, I 20

```
data_NiI4
_chemical_formula_sum 'Ni2 I8'
_cell_length_a 6.240
_cell_length_b 7.877
_cell_length_c 7.053
_cell_angle_alpha 90.00
_cell_angle_beta 107.64
_cell_angle_gamma 90.00
_symmetry_space_group_name_H-M 'P 1'
_symmetry_Int_Tables_number 1
_symmetry_space_group_name_Hall 'P 1'
loop_
_atom_site_label
_atom_site_fract_x
_atom_site_fract_y
_atom_site_fract_z
Ni1 0.000 0.120 0.250
Ni2 0.000 0.880 0.750
I1 0.229 0.115 0.998
I2 0.229 0.885 0.498
I3 0.276 0.359 0.446
I4 0.276 0.641 0.946
I5 0.724 0.359 0.054
I6 0.724 0.641 0.554
I7 0.771 0.115 0.502
I8 0.771 0.885 0.002
```